For Sm3Si2ClO8, a PBE-relaxed structure gives the computed powder diffraction line list in this record (Cu Ka).
Peak positions follow from Bragg's law for the DFT cell and can differ from measured ones.

Most intense lines, 10 to 90 degrees two-theta, in order of rising 2θ:
d [Å]	two_theta	I_rel	hkl
4.560	19.47	69	1 1 1
4.373	20.31	100	0 3 1
3.537	25.18	42	2 0 0
3.296	27.05	46	2 2 0
3.028	29.50	96	0 6 0
2.851	31.38	65	1 1 2
2.791	32.07	42	2 4 0
2.606	34.42	72	1 3 2
1.930	47.09	46	1 7 2
1.804	50.59	75	3 3 2

Crystal structure
Cell lengths 7.075, 18.165, 6.323 Å; angles 90.00, 90.00, 90.00 degrees
Space group Pnma (No. 62)
Asymmetric unit:
Sm  0.023  0.091  0.127 (multiplicity 8)
Sm  0.194  0.750  0.385 (multiplicity 4)
Si  0.032  0.100  0.621 (multiplicity 8)
Cl  0.055  0.250  0.238 (multiplicity 4)
O  0.018  0.031  0.786 (multiplicity 8)
O  0.045  0.175  0.775 (multiplicity 8)
O  0.155  0.619  0.530 (multiplicity 8)
O  0.203  0.095  0.449 (multiplicity 8)

For ReO2, a PBE-relaxed structure gives the computed powder diffraction line list in this record (Cu Ka).
Peak positions follow from Bragg's law for the DFT cell and can differ from measured ones.

Most intense lines, 10 to 90 degrees two-theta, in order of rising 2θ:
d [Å]	two_theta	I_rel	hkl
3.710	23.99	100	1 1 0
2.895	30.89	70	1 1 1
2.443	36.79	19	2 0 0
2.427	37.04	42	0 2 1
2.315	38.91	21	0 0 2
1.964	46.23	36	1 1 2
1.722	53.20	44	2 2 1
1.680	54.62	20	2 0 2
1.654	55.56	28	1 3 1
1.425	65.51	14	0 4 0

Crystal structure
Cell lengths 4.886, 5.700, 4.630 Å; angles 90.00, 90.00, 90.00 degrees
Space group Pbcn (No. 60)
Asymmetric unit:
Re  0.000  0.108  0.250 (multiplicity 4)
O  0.243  0.360  0.091 (multiplicity 8)

For V3Cu, a PBE-relaxed structure gives the computed powder diffraction line list in this record (Cu Ka).
Peak positions follow from Bragg's law for the DFT cell and can differ from measured ones.

Most intense lines, 10 to 90 degrees two-theta, in order of rising 2θ:
d [Å]	two_theta	I_rel	hkl
3.884	22.90	1	0 0 2
3.331	26.76	2	1 0 1
2.165	41.72	100	1 1 2
2.119	42.67	1	1 0 3
1.942	46.78	17	0 0 4
1.844	49.43	29	2 0 0
1.337	70.42	18	2 0 4
1.304	72.50	8	2 2 0
1.160	83.34	11	1 1 6
1.117	87.31	20	3 1 2

Crystal structure
Cell lengths 3.687, 3.687, 7.768 Å; angles 90.00, 90.00, 90.00 degrees
Space group I4/mmm (No. 139)
Asymmetric unit:
V  0.000  0.000  0.000 (multiplicity 2)
V  0.000  0.500  0.250 (multiplicity 4)
Cu  0.000  0.000  0.500 (multiplicity 2)

For Na3SrB5O10, a PBE-relaxed structure gives the computed powder diffraction line list in this record (Cu Ka).
Peak positions follow from Bragg's law for the DFT cell and can differ from measured ones.

Most intense lines, 10 to 90 degrees two-theta, in order of rising 2θ:
d [Å]	two_theta	I_rel	hkl
6.170	14.36	54	1 1 0
5.989	14.79	69	1 1 1
3.777	23.56	77	1 -1 1
3.313	26.91	60	-1 1 1
3.286	27.14	59	1 1 -2
3.199	27.89	100	0 2 -1
3.169	28.16	55	1 0 3
3.099	28.81	70	2 0 0
3.084	28.95	48	2 2 0
2.705	33.12	83	2 2 -1

Crystal structure
Cell lengths 7.346, 7.695, 9.829 Å; angles 81.56, 70.97, 62.03 degrees
Space group P-1 (No. 2)
Asymmetric unit:
Na  0.156  0.499  0.335 (multiplicity 2)
Na  0.208  0.281  0.952 (multiplicity 2)
Na  0.279  0.014  0.615 (multiplicity 2)
Sr  0.216  0.948  0.276 (multiplicity 2)
B  0.137  0.678  0.583 (multiplicity 2)
B  0.162  0.750  0.048 (multiplicity 2)
B  0.298  0.627  0.790 (multiplicity 2)
B  0.382  0.340  0.638 (multiplicity 2)
B  0.488  0.773  0.878 (multiplicity 2)
O  0.016  0.795  0.500 (multiplicity 2)
O  0.027  0.777  0.182 (multiplicity 2)
O  0.156  0.653  0.940 (multiplicity 2)
O  0.165  0.751  0.693 (multiplicity 2)
O  0.232  0.471  0.565 (multiplicity 2)
O  0.320  0.820  0.011 (multiplicity 2)
O  0.342  0.193  0.144 (multiplicity 2)
O  0.400  0.415  0.752 (multiplicity 2)
O  0.467  0.687  0.772 (multiplicity 2)
O  0.500  0.150  0.604 (multiplicity 2)

For MgAs, a PBE-relaxed structure gives the computed powder diffraction line list in this record (Cu Ka).
Peak positions follow from Bragg's law for the DFT cell and can differ from measured ones.

Most intense lines, 10 to 90 degrees two-theta, in order of rising 2θ:
d [Å]	two_theta	I_rel	hkl
3.490	25.53	100	1 1 0
3.117	28.64	10	0 0 3
2.325	38.74	99	1 1 3
2.015	45.00	45	3 0 0
1.745	52.44	14	2 2 0
1.692	54.21	11	3 0 3
1.522	60.84	24	2 2 3
1.319	71.54	11	4 1 0
1.215	78.79	22	4 1 3
1.163	83.04	9	3 3 0

Crystal structure
Cell lengths 6.9792, 6.9792, 9.3505 Å; angles 90.00, 90.00, 120.00 degrees
Space group R32 (No. 155, hexagonal axes)
Asymmetric unit:
Mg  0.0000  0.6340  0.0000 (multiplicity 9)
As  0.0000  0.0000  0.1357 (multiplicity 6)
As  0.0000  0.0000  0.5000 (multiplicity 3)

For MgZn4Sn4O8, a PBE-relaxed structure gives the computed powder diffraction line list in this record (Cu Ka).
Peak positions follow from Bragg's law for the DFT cell and can differ from measured ones.

Most intense lines, 10 to 90 degrees two-theta, in order of rising 2θ:
d [Å]	two_theta	I_rel	hkl
3.883	22.91	25	0 2 1
3.370	26.45	100	0 2 -2
2.872	31.14	91	0 1 3
2.863	31.25	99	1 1 0
2.782	32.18	74	-1 2 1
2.753	32.52	46	0 3 1
2.485	36.15	46	1 -1 2
2.450	36.68	49	1 0 -3
1.768	51.70	28	1 2 3
1.717	53.35	32	-1 3 4

Crystal structure
Cell lengths 3.287, 9.013, 9.528 Å; angles 93.42, 98.91, 98.97 degrees
Space group P1 (No. 1)
Asymmetric unit:
Mg  0.000  0.000  0.000 (multiplicity 1)
Zn  0.408  0.064  0.765 (multiplicity 1)
Zn  0.487  0.850  0.191 (multiplicity 1)
Zn  0.653  0.690  0.904 (multiplicity 1)
Zn  0.659  0.840  0.550 (multiplicity 1)
Sn  0.009  0.505  0.643 (multiplicity 1)
Sn  0.117  0.361  0.010 (multiplicity 1)
Sn  0.245  0.154  0.403 (multiplicity 1)
Sn  0.885  0.567  0.284 (multiplicity 1)
O  0.098  0.007  0.212 (multiplicity 1)
O  0.109  0.533  0.868 (multiplicity 1)
O  0.225  0.974  0.565 (multiplicity 1)
O  0.425  0.900  0.923 (multiplicity 1)
O  0.490  0.721  0.361 (multiplicity 1)
O  0.600  0.669  0.677 (multiplicity 1)
O  0.865  0.710  0.114 (multiplicity 1)
O  0.989  0.161  0.857 (multiplicity 1)

For In3Ag, a PBE-relaxed structure gives the computed powder diffraction line list in this record (Cu Ka).
Peak positions follow from Bragg's law for the DFT cell and can differ from measured ones.

Most intense lines, 10 to 90 degrees two-theta, in order of rising 2θ:
d [Å]	two_theta	I_rel	hkl
2.656	33.75	100	1 1 2
2.406	37.37	19	0 0 4
2.252	40.04	31	2 0 0
1.644	55.92	22	2 0 4
1.592	57.91	10	2 2 0
1.433	65.10	14	1 1 6
1.366	68.73	24	3 1 2
1.328	70.98	11	2 2 4
1.203	79.69	2	0 0 8
1.126	86.42	3	4 0 0

Crystal structure
Cell lengths 4.504, 4.504, 9.626 Å; angles 90.00, 90.00, 90.00 degrees
Space group I4/mmm (No. 139)
Asymmetric unit:
In  0.000  0.000  0.000 (multiplicity 2)
In  0.000  0.500  0.250 (multiplicity 4)
Ag  0.000  0.000  0.500 (multiplicity 2)